MnPH6CI3: calculated XRD peak list (Cu Kα X-rays), based on a crystal structure in Alexandria, relaxed with PBE.
Intensities are scaled so that the largest is 100.

Structural model:
Cell: 4.6187 7.6343 8.0373 Å, 70.14 89.19 84.21°
Space group P1 (No. 1)
Inequivalent atoms, fractional coordinates:
Mn1 0.0000 0.0000 0.0000
P1 0.4448 0.6063 0.5285
H1 0.2333 0.7607 0.4645
H2 0.3032 0.4401 0.5712
H3 0.4587 0.6173 0.8232
H4 0.6415 0.6135 0.3891
H5 0.7164 0.7561 0.6844
H6 0.7874 0.5033 0.7720
C1 0.6205 0.6223 0.7204
I1 0.0534 0.6278 0.1391
I2 0.4777 0.1178 0.1273
I3 0.9755 0.1372 0.6483

Top 6 peaks for 15° ≤ 2θ ≤ 90°, most intense first:
two_theta, intensity
23.00, 100
24.93, 98
24.68, 96
23.54, 92
26.69, 57
39.21, 56

***

H12PbC2I6N2: calculated XRD peak list (Cu Kα X-rays), based on a crystal structure in Alexandria, relaxed with PBE.
Intensities are scaled so that the largest is 100.

Structural model:
Cell: 8.0825 8.8091 15.9071 Å, 90.60 90.29 100.67°
Space group P1 (No. 1)
Inequivalent atoms, fractional coordinates:
H1 0.0000 0.0000 0.0000
H2 0.0017 0.8743 0.5445
H3 0.0342 0.1178 0.4699
H4 0.0798 0.6965 0.9405
H5 0.0969 0.8583 0.8833
H6 0.1639 0.0074 0.4292
H7 0.2213 0.8556 0.9682
H8 0.3577 0.3469 0.9297
H9 0.4270 0.4689 0.4639
H10 0.4866 0.2285 0.9636
H11 0.5178 0.4568 0.0526
H12 0.5357 0.3349 0.8768
H13 0.5413 0.4491 0.5589
H14 0.5652 0.5743 0.9612
H15 0.5891 0.2639 0.4473
H16 0.6174 0.6023 0.4875
H17 0.6734 0.4127 0.3863
H18 0.7075 0.4515 0.9953
H19 0.7691 0.3827 0.4769
H20 0.8129 0.8868 0.4869
H21 0.8462 0.8348 0.9708
H22 0.9596 0.7739 0.4458
H23 0.9793 0.8284 0.0614
H24 0.9844 0.0261 0.3775
Pb1 0.0124 0.3408 0.7314
Pb2 0.4905 0.0126 0.2312
C1 0.5522 0.4822 0.4927
C2 0.5755 0.4642 0.9903
C3 0.9458 0.8775 0.4818
C4 0.9719 0.8735 0.9979
I1 0.0499 0.3962 0.9340
I2 0.0561 0.3903 0.5327
I3 0.0730 0.9979 0.7330
I4 0.1055 0.7146 0.2517
I5 0.3828 0.6443 0.7873
I6 0.4112 0.3493 0.2340
I7 0.4683 0.9802 0.4345
I8 0.4981 0.9708 0.0289
I9 0.6392 0.2776 0.7255
I10 0.7121 0.8111 0.7541
I11 0.7641 0.5522 0.2387
I12 0.8619 0.1045 0.2373
N1 0.0369 0.0151 0.4368
N2 0.0991 0.8170 0.9441
N3 0.4836 0.3360 0.9366
N4 0.6512 0.3796 0.4482

Top 6 peaks for 15° ≤ 2θ ≤ 90°, most intense first:
two_theta, intensity
22.36, 100
22.21, 97
33.83, 28
35.49, 28
27.03, 26
34.86, 21

***

H5PbCI3N2: calculated XRD peak list (Cu Kα X-rays), based on a crystal structure in Alexandria, relaxed with PBE.
Intensities are scaled so that the largest is 100.

Structural model:
Cell: 6.5406 6.5765 6.4030 Å, 90.00 90.00 90.00°
Space group Pmm2 (No. 25)
Inequivalent atoms, fractional coordinates:
H1 0.0000 0.0000 0.0000
H2 0.0000 0.1971 0.5784
H3 0.0000 0.3041 0.8283
Pb1 0.5000 0.5000 0.2464
C1 0.0000 0.0000 0.8295
I1 0.0000 0.5000 0.2232
I2 0.5000 0.0000 0.2569
I3 0.5000 0.5000 0.7410
N1 0.0000 0.1776 0.7364

Top 6 peaks for 15° ≤ 2θ ≤ 90°, most intense first:
two_theta, intensity
27.27, 100
27.87, 88
27.12, 83
30.55, 78
41.76, 72
31.08, 69